Structure and theoretical powder XRD pattern of Nd2Si4Tc5 (a structure optimized by DFT (GGA-PBE); a wavelength of 1.5418 Å).
Kinematic intensities with the Lorentz-polarization factor, no thermal factor.

Most intense lines, 10 to 80 degrees two-theta, most intense first:
- d = 2.499 Å, 2θ 35.93, I 100, (2 2 0)
- d = 2.822 Å, 2θ 31.71, I 75, (0 2 4)
- d = 2.452 Å, 2θ 36.65, I 58, (1 3 3)
- d = 3.355 Å, 2θ 26.57, I 57, (1 1 3)
- d = 2.192 Å, 2θ 41.19, I 57, (2 0 4)
- d = 2.541 Å, 2θ 35.33, I 44, (0 4 0)
- d = 1.404 Å, 2θ 66.62, I 31, (2 2 8)
- d = 1.459 Å, 2θ 63.81, I 24, (2 6 0)
- d = 1.659 Å, 2θ 55.36, I 24, (2 4 4)
- d = 1.697 Å, 2θ 54.04, I 20, (0 0 8)

Crystal structure
```
data_Nd2Si4Tc5
_chemical_formula_sum 'Nd8 Si16 Tc20'
_cell_length_a 5.7412
_cell_length_b 10.1622
_cell_length_c 13.5745
_cell_angle_alpha 90.00
_cell_angle_beta 90.00
_cell_angle_gamma 90.00
_symmetry_space_group_name_H-M 'F m m m'
_symmetry_Int_Tables_number 69
_symmetry_space_group_name_Hall '-F 2 2'
loop_
_atom_site_label
_atom_site_type_symbol
_atom_site_fract_x
_atom_site_fract_y
_atom_site_fract_z
_atom_site_occupancy
Nd1 Nd 0.0000 0.0000 0.1328 1
Si1 Si 0.0000 0.1468 0.3651 1
Tc1 Tc 0.0000 0.0000 0.5000 1
Tc2 Tc 0.2500 0.2500 0.0000 1
Tc3 Tc 0.2500 0.2500 0.2500 1
```